KErHSe2O9: simulated powder X-ray diffraction pattern (λ = 1.5418 Å (Cu Kα)), based on a cell relaxed with PBE.
Neutral-atom scattering factors, no anomalous dispersion.

Top 10 peaks for 2θ = 10–90°, in order of rising 2θ:
d/Å	intensity
7.953	100
3.757	49
3.624	69
3.516	29
3.473	23
3.363	44
2.925	26
2.837	32
2.724	25
2.704	21

Atomic structure:
Cell lengths 5.7484, 8.8989, 9.5193 Å; angles 68.71, 81.07, 71.54 degrees
Fractional positions:
K: 0.2391 0.2156 0.0314
K: 0.7609 0.7844 0.9686
Er: 0.2038 0.6231 0.6046
Er: 0.7962 0.3769 0.3954
H: 0.2396 0.8650 0.7485
H: 0.7604 0.1350 0.2515
Se: 0.2998 0.5528 0.2122
Se: 0.3394 0.1777 0.6344
Se: 0.6606 0.8223 0.3656
Se: 0.7002 0.4472 0.7878
O: 0.1214 0.1986 0.5252
O: 0.1283 0.4348 0.2068
O: 0.1363 0.7932 0.7468
O: 0.2163 0.7499 0.1021
O: 0.2455 0.3371 0.7040
O: 0.3291 0.5257 0.3959
O: 0.3755 0.9989 0.7781
O: 0.3962 0.8215 0.4673
O: 0.4004 0.5319 0.8378
O: 0.5996 0.4681 0.1622
O: 0.6038 0.1785 0.5327
O: 0.6245 0.0011 0.2219
O: 0.6709 0.4743 0.6041
O: 0.7545 0.6629 0.2960
O: 0.7837 0.2501 0.8979
O: 0.8637 0.2068 0.2532
O: 0.8717 0.5652 0.7932
O: 0.8786 0.8014 0.4748